[1]
For SmAgO2, a structure optimized by DFT (PBE) gives the theoretical X-ray diffraction stick pattern in this record (Cu Ka).
Intensities are scaled so that the largest is 100.

Cell: 3.615 3.615 12.489 Å, 90.00 90.00 120.00°
Atoms (fractional coordinates):
Sm  0.000  0.000  0.000
Sm  0.000  0.000  0.500
Ag  0.333  0.667  0.250
Ag  0.667  0.333  0.750
O  0.333  0.667  0.085
O  0.333  0.667  0.415
O  0.667  0.333  0.585
O  0.667  0.333  0.915

Top 10 peaks for 2θ from 10° to 80°, in order of falling intensity:
d = 2.799 Å, 2θ = 31.98°, I 100; d = 3.124 Å, 2θ = 28.57°, I 44; d = 3.037 Å, 2θ = 29.41°, I 41; d = 1.734 Å, 2θ = 52.81°, I 31; d = 1.808 Å, 2θ = 50.49°, I 30; d = 1.565 Å, 2θ = 59.04°, I 28; d = 1.519 Å, 2θ = 61.02°, I 16; d = 2.211 Å, 2θ = 40.81°, I 14; d = 1.953 Å, 2θ = 46.51°, I 11; d = 1.251 Å, 2θ = 76.07°, I 10

[2]
For Li2Zn2O5, a structure optimized by DFT (PBE) gives the theoretical X-ray diffraction stick pattern in this record (Cu Ka).
Intensities are scaled so that the largest is 100.

Cell: 3.854 3.854 6.692 Å, 90.00 90.00 90.00°
Atoms (fractional coordinates):
Li  0.000  0.000  0.000
Li  0.000  0.000  0.500
Zn  0.500  0.500  0.221
Zn  0.500  0.500  0.779
O  0.000  0.500  0.114
O  0.000  0.500  0.886
O  0.500  0.000  0.114
O  0.500  0.000  0.886
O  0.500  0.500  0.500

Top 10 peaks for 2θ from 10° to 80°, in order of falling intensity:
d = 3.854 Å, 2θ = 23.08°, I 100; d = 2.526 Å, 2θ = 35.53°, I 51; d = 1.928 Å, 2θ = 47.14°, I 44; d = 6.692 Å, 2θ = 13.23°, I 33; d = 2.113 Å, 2θ = 42.80°, I 23; d = 1.724 Å, 2θ = 53.13°, I 22; d = 1.532 Å, 2θ = 60.42°, I 20; d = 2.725 Å, 2θ = 32.86°, I 19; d = 1.363 Å, 2θ = 68.88°, I 15; d = 3.346 Å, 2θ = 26.64°, I 15

[3]
For CuAg, a structure optimized by DFT (PBE) gives the theoretical X-ray diffraction stick pattern in this record (Cu Ka).
Intensities are scaled so that the largest is 100.

Cell: 2.851 2.851 18.239 Å, 90.00 90.00 90.00°
Atoms (fractional coordinates):
Cu  0.000  0.000  0.000
Cu  0.000  0.000  0.162
Cu  0.000  0.000  0.599
Cu  0.500  0.500  0.081
Cu  0.500  0.500  0.679
Ag  0.000  0.000  0.381
Ag  0.000  0.000  0.780
Ag  0.500  0.500  0.263
Ag  0.500  0.500  0.498
Ag  0.500  0.500  0.899

Top 10 peaks for 2θ from 10° to 80°, in order of falling intensity:
d = 2.246 Å, 2θ = 40.14°, I 100; d = 2.016 Å, 2θ = 44.96°, I 43; d = 1.204 Å, 2θ = 79.65°, I 24; d = 2.582 Å, 2θ = 34.75°, I 15; d = 1.426 Å, 2θ = 65.47°, I 13; d = 1.353 Å, 2θ = 69.49°, I 10; d = 1.510 Å, 2θ = 61.39°, I 7; d = 1.824 Å, 2θ = 50.01°, I 7; d = 2.280 Å, 2θ = 39.53°, I 7; d = 2.418 Å, 2θ = 37.19°, I 5

[4]
For Ho2Zn3GaFe2, a structure optimized by DFT (PBE) gives the theoretical X-ray diffraction stick pattern in this record (Cu Ka).
Intensities are scaled so that the largest is 100.

Cell: 5.225 5.225 7.089 Å, 90.34 90.34 45.59°
Atoms (fractional coordinates):
Ho  0.000  0.000  0.000
Ho  0.136  0.136  0.499
Zn  0.423  0.423  0.304
Zn  0.429  0.429  0.690
Zn  0.712  0.712  0.195
Ga  0.711  0.711  0.805
Fe  0.280  0.280  0.993
Fe  0.853  0.853  0.502

Top 10 peaks for 2θ from 10° to 80°, in order of falling intensity:
d = 2.570 Å, 2θ = 34.91°, I 100; d = 2.375 Å, 2θ = 37.88°, I 38; d = 2.367 Å, 2θ = 38.01°, I 36; d = 2.025 Å, 2θ = 44.76°, I 31; d = 2.285 Å, 2θ = 39.43°, I 18; d = 2.276 Å, 2θ = 39.60°, I 17; d = 2.516 Å, 2θ = 35.68°, I 17; d = 2.127 Å, 2θ = 42.50°, I 14; d = 1.303 Å, 2θ = 72.54°, I 14; d = 3.544 Å, 2θ = 25.13°, I 14

[5]
For K2PdPt3Se6, a structure optimized by DFT (PBE) gives the theoretical X-ray diffraction stick pattern in this record (Cu Ka).
Intensities are scaled so that the largest is 100.

Cell: 7.815 7.815 7.815 Å, 57.71 57.71 57.71°
Atoms (fractional coordinates):
K  0.199  0.199  0.199
K  0.801  0.801  0.801
Pd  0.000  0.000  0.000
Pt  0.000  0.500  0.500
Pt  0.500  0.000  0.500
Pt  0.500  0.500  0.000
Se  0.235  0.235  0.720
Se  0.235  0.720  0.235
Se  0.280  0.765  0.765
Se  0.720  0.235  0.235
Se  0.765  0.280  0.765
Se  0.765  0.765  0.280

Top 10 peaks for 2θ from 10° to 80°, in order of falling intensity:
d = 6.489 Å, 2θ = 13.65°, I 100; d = 2.712 Å, 2θ = 33.03°, I 73; d = 3.221 Å, 2θ = 27.70°, I 38; d = 1.886 Å, 2θ = 48.26°, I 30; d = 2.117 Å, 2θ = 42.70°, I 28; d = 1.811 Å, 2θ = 50.40°, I 23; d = 1.951 Å, 2θ = 46.54°, I 17; d = 1.556 Å, 2θ = 59.40°, I 15; d = 1.548 Å, 2θ = 59.73°, I 13; d = 2.502 Å, 2θ = 35.89°, I 11

[6]
For Nb2AsC, a structure optimized by DFT (PBE) gives the theoretical X-ray diffraction stick pattern in this record (Cu Ka).
Intensities are scaled so that the largest is 100.

Cell: 3.335 3.335 12.081 Å, 90.00 90.00 120.00°
Atoms (fractional coordinates):
Nb  0.333  0.667  0.094
Nb  0.333  0.667  0.406
Nb  0.667  0.333  0.594
Nb  0.667  0.333  0.906
As  0.333  0.667  0.750
As  0.667  0.333  0.250
C  0.000  0.000  0.000
C  0.000  0.000  0.500

Top 10 peaks for 2θ from 10° to 80°, in order of falling intensity:
d = 2.347 Å, 2θ = 38.35°, I 100; d = 2.888 Å, 2θ = 30.96°, I 26; d = 1.667 Å, 2θ = 55.08°, I 25; d = 1.359 Å, 2θ = 69.10°, I 17; d = 1.284 Å, 2θ = 73.78°, I 16; d = 2.014 Å, 2θ = 45.02°, I 12; d = 1.652 Å, 2θ = 55.64°, I 11; d = 1.217 Å, 2θ = 78.59°, I 9; d = 1.444 Å, 2θ = 64.53°, I 3; d = 1.482 Å, 2θ = 62.71°, I 2

[7]
For TaBAu, a structure optimized by DFT (PBE) gives the theoretical X-ray diffraction stick pattern in this record (Cu Ka).
Intensities are scaled so that the largest is 100.

Cell: 6.232 6.232 3.801 Å, 90.00 90.00 120.00°
Atoms (fractional coordinates):
Ta  0.000  0.268  0.000
Ta  0.268  0.000  0.000
Ta  0.732  0.732  0.000
B  0.000  0.000  0.500
B  0.333  0.667  0.000
B  0.667  0.333  0.000
Au  0.000  0.615  0.500
Au  0.385  0.385  0.500
Au  0.615  0.000  0.500

Top 10 peaks for 2θ from 10° to 80°, in order of falling intensity:
d = 2.410 Å, 2θ = 37.32°, I 100; d = 3.113 Å, 2θ = 28.67°, I 42; d = 2.040 Å, 2θ = 44.41°, I 26; d = 2.200 Å, 2θ = 41.02°, I 20; d = 1.799 Å, 2θ = 50.75°, I 18; d = 1.390 Å, 2θ = 67.34°, I 15; d = 1.900 Å, 2θ = 47.87°, I 15; d = 1.393 Å, 2θ = 67.22°, I 12; d = 1.306 Å, 2θ = 72.33°, I 11; d = 1.622 Å, 2θ = 56.74°, I 9

[8]
For Sm3Cu2Si4Pd2, a structure optimized by DFT (PBE) gives the theoretical X-ray diffraction stick pattern in this record (Cu Ka).
Intensities are scaled so that the largest is 100.

Cell: 12.566 12.566 12.566 Å, 161.37 160.85 26.84°
Atoms (fractional coordinates):
Sm  0.000  0.000  0.000
Sm  0.348  0.848  0.500
Sm  0.652  0.152  0.500
Cu  0.250  0.250  0.000
Cu  0.750  0.750  0.000
Si  0.197  0.697  0.500
Si  0.451  0.451  0.000
Si  0.549  0.549  0.000
Si  0.803  0.303  0.500
Pd  0.098  0.598  0.500
Pd  0.902  0.402  0.500

Top 10 peaks for 2θ from 10° to 80°, in order of falling intensity:
d = 2.631 Å, 2θ = 34.08°, I 100; d = 2.650 Å, 2θ = 33.83°, I 36; d = 2.034 Å, 2θ = 44.53°, I 25; d = 2.278 Å, 2θ = 39.57°, I 22; d = 2.090 Å, 2θ = 43.30°, I 22; d = 3.719 Å, 2θ = 23.93°, I 22; d = 3.127 Å, 2θ = 28.55°, I 18; d = 1.458 Å, 2θ = 63.85°, I 17; d = 1.641 Å, 2θ = 56.05°, I 17; d = 1.353 Å, 2θ = 69.46°, I 14

[9]
For Tm3Se2, a structure optimized by DFT (PBE) gives the theoretical X-ray diffraction stick pattern in this record (Cu Ka).
Intensities are scaled so that the largest is 100.

Cell: 10.096 10.096 10.096 Å, 21.94 21.94 21.94°
Atoms (fractional coordinates):
Tm  0.000  0.000  0.000
Tm  0.212  0.212  0.212
Tm  0.788  0.788  0.788
Se  0.392  0.392  0.392
Se  0.608  0.608  0.608

Top 10 peaks for 2θ from 10° to 80°, in order of falling intensity:
d = 2.900 Å, 2θ = 30.83°, I 100; d = 2.210 Å, 2θ = 40.84°, I 35; d = 1.922 Å, 2θ = 47.30°, I 33; d = 1.602 Å, 2θ = 57.53°, I 17; d = 1.230 Å, 2θ = 77.59°, I 15; d = 3.035 Å, 2θ = 29.43°, I 13; d = 3.283 Å, 2θ = 27.16°, I 10; d = 1.376 Å, 2θ = 68.17°, I 9; d = 1.450 Å, 2θ = 64.24°, I 9; d = 1.658 Å, 2θ = 55.40°, I 8

[10]
For Te2OsO6, a structure optimized by DFT (PBE) gives the theoretical X-ray diffraction stick pattern in this record (Cu Ka).
Intensities are scaled so that the largest is 100.

Cell: 5.457 6.328 9.123 Å, 90.00 124.37 90.00°
Atoms (fractional coordinates):
Te  0.210  0.147  0.208
Te  0.210  0.353  0.708
Te  0.790  0.647  0.292
Te  0.790  0.853  0.792
Os  0.500  0.000  0.000
Os  0.500  0.500  0.500
O  0.145  0.064  0.752
O  0.145  0.436  0.252
O  0.193  0.654  0.515
O  0.193  0.846  0.015
O  0.392  0.245  0.087
O  0.392  0.255  0.587
O  0.608  0.745  0.413
O  0.608  0.755  0.913
O  0.807  0.154  0.985
O  0.807  0.346  0.485
O  0.855  0.564  0.748
O  0.855  0.936  0.248

Top 10 peaks for 2θ from 10° to 80°, in order of falling intensity:
d = 4.845 Å, 2θ = 18.31°, I 100; d = 2.826 Å, 2θ = 31.66°, I 35; d = 3.670 Å, 2θ = 24.25°, I 33; d = 1.967 Å, 2θ = 46.14°, I 32; d = 2.741 Å, 2θ = 32.67°, I 31; d = 2.726 Å, 2θ = 32.85°, I 30; d = 3.575 Å, 2θ = 24.90°, I 29; d = 2.316 Å, 2θ = 38.88°, I 20; d = 2.917 Å, 2θ = 30.65°, I 19; d = 2.555 Å, 2θ = 35.12°, I 17

[11]
For In2FeW, a structure optimized by DFT (PBE) gives the theoretical X-ray diffraction stick pattern in this record (Cu Ka).
Intensities are scaled so that the largest is 100.

Cell: 4.599 4.599 4.599 Å, 60.00 60.00 60.00°
Atoms (fractional coordinates):
In  0.000  0.000  0.000
In  0.250  0.250  0.250
Fe  0.750  0.750  0.750
W  0.500  0.500  0.500

Top 10 peaks for 2θ from 10° to 80°, in order of falling intensity:
d = 2.300 Å, 2θ = 39.18°, I 100; d = 1.328 Å, 2θ = 70.99°, I 33; d = 1.626 Å, 2θ = 56.60°, I 17; d = 3.252 Å, 2θ = 27.43°, I 8; d = 3.755 Å, 2θ = 23.69°, I 8; d = 1.961 Å, 2θ = 46.30°, I 4; d = 1.454 Å, 2θ = 64.02°, I 3; d = 1.878 Å, 2θ = 48.48°, I 3; d = 1.492 Å, 2θ = 62.22°, I 2; d = 1.252 Å, 2θ = 76.03°, I 1

[12]
For PrNdTe6, a structure optimized by DFT (PBE) gives the theoretical X-ray diffraction stick pattern in this record (Cu Ka).
Intensities are scaled so that the largest is 100.

Cell: 4.393 4.393 13.697 Å, 90.00 99.23 90.00°
Atoms (fractional coordinates):
Pr  0.000  0.000  0.000
Nd  0.341  0.500  0.681
Te  0.097  0.500  0.192
Te  0.246  0.000  0.490
Te  0.464  0.500  0.927
Te  0.597  0.000  0.191
Te  0.746  0.500  0.490
Te  0.876  0.000  0.753

Top 10 peaks for 2θ from 10° to 80°, in order of falling intensity:
d = 2.937 Å, 2θ = 30.44°, I 100; d = 2.196 Å, 2θ = 41.09°, I 51; d = 2.694 Å, 2θ = 33.26°, I 49; d = 3.380 Å, 2θ = 26.37°, I 43; d = 1.842 Å, 2θ = 49.49°, I 30; d = 2.421 Å, 2θ = 37.14°, I 23; d = 1.373 Å, 2θ = 68.32°, I 19; d = 1.928 Å, 2θ = 47.13°, I 18; d = 3.086 Å, 2θ = 28.93°, I 17; d = 1.553 Å, 2θ = 59.52°, I 17